No. 1
Diffraction record for MoN2F. The powder X-ray diffraction pattern is calculated, not measured: it uses a DFT-relaxed cell (PBE+U, Alexandria) and Cu Kα.
Neutral-atom scattering factors, no anomalous dispersion.

Cell and atoms:
```
MoN2F
1.0
-2.786 2.786 4.410
2.786 -2.786 4.410
2.786 2.786 -4.410
Mo N F
2 4 2
direct
0.000 0.000 0.000 Mo
0.750 0.250 0.500 Mo
0.375 0.223 0.348 N
0.777 0.125 0.152 N
0.875 0.027 0.652 N
0.973 0.625 0.848 N
0.250 0.750 0.500 F
0.500 0.500 0.000 F
```

Largest 6 diffraction maxima, by angle, 2θ from 15° to 90°:
- d 4.711, 2θ = 18.8°, rel. 1000
- d 2.938, 2θ = 30.4°, rel. 956
- d 2.786, 2θ = 32.1°, rel. 342
- d 1.901, 2θ = 47.8°, rel. 164
- d 1.729, 2θ = 53.0°, rel. 203
- d 1.636, 2θ = 56.2°, rel. 296

---

No. 2
Diffraction record for MoN2F2. The powder X-ray diffraction pattern is calculated, not measured: it uses a DFT-relaxed cell (PBE+U, Alexandria) and Cu Kα.
Neutral-atom scattering factors, no anomalous dispersion.

Cell and atoms:
```
MoN2F2
1.0
4.202 0.000 0.000
0.000 4.202 0.000
0.000 0.000 4.001
Mo N F
1 2 2
direct
0.000 0.000 0.000 Mo
0.000 0.000 0.500 N
0.500 0.500 0.500 N
0.000 0.500 0.000 F
0.500 0.000 0.000 F
```

Largest 6 diffraction maxima, by angle, 2θ from 15° to 90°:
- d 4.202, 2θ = 21.1°, rel. 1000
- d 4.001, 2θ = 22.2°, rel. 551
- d 2.971, 2θ = 30.1°, rel. 315
- d 2.897, 2θ = 30.9°, rel. 766
- d 2.101, 2θ = 43.1°, rel. 403
- d 1.701, 2θ = 53.9°, rel. 300

---

No. 3
Diffraction record for MoSNF2. The powder X-ray diffraction pattern is calculated, not measured: it uses a DFT-relaxed cell (PBE+U, Alexandria) and Cu Kα.
Neutral-atom scattering factors, no anomalous dispersion.

Cell and atoms:
```
MoSNF2
1.0
4.224 0.000 0.000
0.000 4.224 0.000
0.000 0.000 3.987
Mo S N F
1 1 1 2
direct
0.000 0.000 0.000 Mo
0.500 0.500 0.500 S
0.000 0.000 0.500 N
0.000 0.500 0.000 F
0.500 0.000 0.000 F
```

Largest 6 diffraction maxima, by angle, 2θ from 15° to 90°:
- d 4.224, 2θ = 21.0°, rel. 582
- d 3.987, 2θ = 22.3°, rel. 332
- d 2.987, 2θ = 29.9°, rel. 436
- d 2.899, 2θ = 30.8°, rel. 1000
- d 2.112, 2θ = 42.8°, rel. 467
- d 1.707, 2θ = 53.7°, rel. 400

---

No. 4
Diffraction record for NaMoF6. The powder X-ray diffraction pattern is calculated, not measured: it uses a DFT-relaxed cell (PBE+U, Alexandria) and Cu Kα.
Neutral-atom scattering factors, no anomalous dispersion.

Cell and atoms:
```
NaMoF6
1.0
5.381 0.000 0.000
2.647 4.705 0.000
2.623 1.599 5.090
Na Mo F
1 1 6
direct
0.000 0.000 0.000 Na
0.500 0.500 0.500 Mo
0.153 0.401 0.719 F
0.272 0.852 0.275 F
0.391 0.724 0.726 F
0.609 0.276 0.274 F
0.728 0.148 0.725 F
0.847 0.599 0.281 F
```

Largest 6 diffraction maxima, by angle, 2θ from 15° to 90°:
- d 5.090, 2θ = 17.4°, rel. 391
- d 4.493, 2θ = 19.8°, rel. 510
- d 4.016, 2θ = 22.1°, rel. 505
- d 3.979, 2θ = 22.3°, rel. 1000
- d 2.387, 2θ = 37.7°, rel. 440
- d 1.851, 2θ = 49.2°, rel. 271

---

What is the formula in the first record?
MoN2F